(1)
Starting from a GGA-PBE-relaxed structure, the powder XRD pattern of Ac8Y4Er was computed for Cu Kα X-rays.

Cell and atoms:
```
13
Lattice="5.8927 3.4022 4.8057 -5.8927 3.4022 4.8057 0.0000 -6.8043 4.8057" Properties=species:S:1:pos:R:3 pbc="T T T"
Ac 0.0000 0.0000 3.5065
Ac 0.0000 -3.4915 5.9718
Ac -3.0238 1.7458 5.9718
Ac -3.0238 -1.7458 8.4454
Ac 3.0238 1.7458 5.9718
Ac 3.0238 -1.7458 8.4454
Ac 0.0000 3.4916 8.4454
Ac 0.0000 0.0000 10.9107
Y 0.0000 0.0000 0.0000
Y -2.9464 -1.7011 4.8057
Y -2.9464 1.7011 9.6115
Y 0.0000 3.4022 4.8057
Er 0.0000 0.0000 7.2086
```

The 12 most intense peaks (2θ = 10–90°), in order of rising 2θ:
2θ = 21.33°, 4.165 Å, intensity 34; 2θ = 30.35°, 2.945 Å, intensity 100; 2θ = 37.40°, 2.405 Å, intensity 11; 2θ = 43.45°, 2.083 Å, intensity 19; 2θ = 48.90°, 1.863 Å, intensity 16; 2θ = 53.92°, 1.700 Å, intensity 40; 2θ = 63.14°, 1.473 Å, intensity 12; 2θ = 67.46°, 1.388 Å, intensity 7; 2θ = 71.65°, 1.317 Å, intensity 17; 2θ = 75.74°, 1.256 Å, intensity 4; 2θ = 87.64°, 1.113 Å, intensity 15; 2θ = 87.73°, 1.112 Å, intensity 5

---

(2)
Starting from a GGA-PBE-relaxed structure, the powder XRD pattern of La3Mg11 was computed for Cu Kα X-rays.

Cell and atoms:
```
14
Lattice="-2.5735 5.0238 7.3801 2.5735 -5.0238 7.3801 2.5735 5.0238 -7.3801" Properties=species:S:1:pos:R:3 pbc="T T T"
La 0.0000 0.0000 0.0000
La 0.0000 0.0000 4.2614
La 0.0000 0.0000 10.4989
Mg 2.5735 -1.4376 2.3211
Mg 2.5735 -2.1254 5.3175
Mg 2.5735 1.4376 2.3211
Mg 2.5735 3.3341 0.0000
Mg 0.0000 2.8984 2.0626
Mg 0.0000 5.0238 0.0000
Mg 2.5735 2.1254 5.3175
Mg 0.0000 1.6897 7.3801
Mg 0.0000 3.5862 5.0590
Mg 0.0000 7.1492 2.0626
Mg 0.0000 6.4613 5.0590
```

The 12 most intense peaks (2θ = 10–90°), in order of rising 2θ:
2θ = 17.65°, 5.024 Å, intensity 45; 2θ = 19.38°, 4.581 Å, intensity 86; 2θ = 20.10°, 4.419 Å, intensity 39; 2θ = 25.04°, 3.557 Å, intensity 43; 2θ = 30.05°, 2.974 Å, intensity 44; 2θ = 30.80°, 2.903 Å, intensity 100; 2θ = 31.12°, 2.874 Å, intensity 68; 2θ = 31.88°, 2.807 Å, intensity 61; 2θ = 32.34°, 2.769 Å, intensity 34; 2θ = 34.86°, 2.574 Å, intensity 47; 2θ = 46.67°, 1.946 Å, intensity 26; 2θ = 60.03°, 1.541 Å, intensity 42

---

(3)
Starting from a GGA-PBE-relaxed structure, the powder XRD pattern of Dy2AlCo2 was computed for Cu Kα X-rays.

Cell and atoms:
```
10
Lattice="4.7057 -2.6967 0.0000 4.7057 2.6967 0.0000 -1.8232 0.0000 7.2958" Properties=species:S:1:pos:R:3 pbc="T T T"
Dy 1.7733 1.9043 6.2289
Dy 4.9033 1.9043 4.7148
Dy 2.6849 -1.9043 2.5810
Dy 5.8149 -1.9043 1.0669
Al 4.2499 0.6711 1.8239
Al 3.3383 -0.6711 5.4718
Co 2.4646 0.7873 3.6063
Co 6.0352 0.7873 0.0416
Co 1.5530 -0.7873 7.2542
Co 5.1236 -0.7873 3.6895
```

The 12 most intense peaks (2θ = 10–90°), in order of rising 2θ:
2θ = 23.95°, 3.715 Å, intensity 68; 2θ = 27.35°, 3.261 Å, intensity 87; 2θ = 33.04°, 2.711 Å, intensity 58; 2θ = 33.44°, 2.679 Å, intensity 65; 2θ = 35.01°, 2.563 Å, intensity 70; 2θ = 35.49°, 2.529 Å, intensity 89; 2θ = 37.49°, 2.399 Å, intensity 41; 2θ = 39.24°, 2.296 Å, intensity 100; 2θ = 39.48°, 2.283 Å, intensity 57; 2θ = 39.66°, 2.273 Å, intensity 97; 2θ = 42.28°, 2.138 Å, intensity 48; 2θ = 59.25°, 1.560 Å, intensity 42

---

(4)
Starting from a GGA-PBE-relaxed structure, the powder XRD pattern of Tl4BiPb3 was computed for Cu Kα X-rays.

Cell and atoms:
```
8
Lattice="10.5125 -2.4860 0.0000 10.5125 2.4860 0.0000 -1.1627 0.0000 4.8144" Properties=species:S:1:pos:R:3 pbc="T T T"
Tl 2.4964 0.0000 0.6080
Tl 4.4074 0.0000 3.6186
Tl 15.4549 0.0000 1.1958
Tl 17.3660 0.0000 4.2064
Bi -0.5813 0.0000 2.4072
Pb 7.5122 0.0000 1.8171
Pb 10.5125 0.0000 0.0000
Pb 12.3502 0.0000 2.9973
```

The 12 most intense peaks (2θ = 10–90°), in order of rising 2θ:
2θ = 30.92°, 2.892 Å, intensity 100; 2θ = 35.13°, 2.555 Å, intensity 18; 2θ = 36.13°, 2.486 Å, intensity 17; 2θ = 36.28°, 2.476 Å, intensity 17; 2θ = 51.31°, 1.781 Å, intensity 19; 2θ = 52.13°, 1.754 Å, intensity 12; 2θ = 60.42°, 1.532 Å, intensity 15; 2θ = 61.75°, 1.502 Å, intensity 14; 2θ = 61.95°, 1.498 Å, intensity 14; 2θ = 64.42°, 1.446 Å, intensity 13; 2θ = 83.74°, 1.155 Å, intensity 6; 2θ = 83.91°, 1.153 Å, intensity 6

---

(5)
Starting from a GGA-PBE-relaxed structure, the powder XRD pattern of Sr2CaPr3Cu4O12 was computed for Cu Kα X-rays.

Cell and atoms:
```
22
Lattice="5.4145 0.0000 0.0000 0.0000 2.7188 9.8290 0.0000 -2.7188 9.8290" Properties=species:S:1:pos:R:3 pbc="T T T"
Sr 0.0000 0.0000 0.0000
Sr 2.7073 0.0000 6.3001
Ca 0.0000 0.0000 16.2243
Pr 0.0000 0.0000 12.6744
Pr 2.7073 0.0000 2.8157
Pr 2.7073 0.0000 9.7708
Cu 0.0000 0.0000 4.5607
Cu 0.0000 0.0000 8.0719
Cu 2.7073 0.0000 14.4550
Cu 2.7073 0.0000 17.8846
O 0.0000 0.0000 2.4451
O 0.0000 0.0000 10.3423
O 1.3417 -1.3297 14.4216
O 1.3417 1.3297 14.4216
O 1.3555 -1.3581 7.9715
O 1.3555 1.3581 7.9715
O 2.7073 0.0000 0.5246
O 2.7073 0.0000 12.1072
O 4.0590 -1.3581 7.9715
O 4.0590 1.3581 7.9715
O 4.0728 -1.3297 14.4216
O 4.0728 1.3297 14.4216
```

The 12 most intense peaks (2θ = 10–90°), in order of rising 2θ:
2θ = 18.05°, 4.914 Å, intensity 11; 2θ = 26.93°, 3.311 Å, intensity 28; 2θ = 32.61°, 2.746 Å, intensity 100; 2θ = 32.94°, 2.719 Å, intensity 35; 2θ = 33.09°, 2.707 Å, intensity 35; 2θ = 39.78°, 2.266 Å, intensity 21; 2θ = 47.39°, 1.918 Å, intensity 42; 2θ = 47.92°, 1.898 Å, intensity 11; 2θ = 58.62°, 1.575 Å, intensity 18; 2θ = 58.80°, 1.570 Å, intensity 18; 2θ = 76.46°, 1.246 Å, intensity 10; 2θ = 88.26°, 1.107 Å, intensity 10

---

(6)
Starting from a GGA-PBE-relaxed structure, the powder XRD pattern of NpGeRu3 was computed for Cu Kα X-rays.

Cell and atoms:
```
10
Lattice="-2.7593 3.7484 4.1140 2.7593 -3.7484 4.1140 2.7593 3.7484 -4.1140" Properties=species:S:1:pos:R:3 pbc="T T T"
Np 0.0000 1.8742 0.1082
Np 2.7593 1.8742 4.0059
Ge 2.7593 0.0000 0.0000
Ge 0.0000 0.0000 4.1140
Ru 2.7593 1.8742 -1.8521
Ru 1.3796 4.2367 -2.0570
Ru 1.3796 0.4883 2.0570
Ru -1.3796 3.2601 2.0570
Ru 1.3796 3.2601 2.0570
Ru 0.0000 1.8742 5.9662
```

The 12 most intense peaks (2θ = 10–90°), in order of rising 2θ:
2θ = 19.37°, 4.583 Å, intensity 34; 2θ = 30.82°, 2.902 Å, intensity 100; 2θ = 32.31°, 2.771 Å, intensity 20; 2θ = 36.37°, 2.470 Å, intensity 21; 2θ = 37.62°, 2.391 Å, intensity 27; 2θ = 39.32°, 2.292 Å, intensity 53; 2θ = 40.60°, 2.222 Å, intensity 46; 2θ = 44.06°, 2.055 Å, intensity 93; 2θ = 48.34°, 1.883 Å, intensity 18; 2θ = 49.33°, 1.847 Å, intensity 19; 2θ = 56.87°, 1.619 Å, intensity 18; 2θ = 61.42°, 1.510 Å, intensity 23

---

(7)
Starting from a GGA-PBE-relaxed structure, the powder XRD pattern of Pu2Mg3Pb3 was computed for Cu Kα X-rays.

Cell and atoms:
```
8
Lattice="4.7497 0.0000 0.0000 0.0000 4.8611 0.0000 0.0000 0.0000 9.1130" Properties=species:S:1:pos:R:3 pbc="T T T"
Pu 0.0000 0.0000 2.2535
Pu 0.0000 0.0000 6.8595
Mg 0.0000 2.4305 4.5565
Mg 2.3749 2.4305 2.3336
Mg 2.3749 2.4305 6.7794
Pb 0.0000 2.4305 0.0000
Pb 2.3749 0.0000 0.0000
Pb 2.3749 0.0000 4.5565
```

The 12 most intense peaks (2θ = 10–90°), in order of rising 2θ:
2θ = 18.25°, 4.861 Å, intensity 27; 2θ = 27.12°, 3.288 Å, intensity 21; 2θ = 32.89°, 2.724 Å, intensity 100; 2θ = 36.99°, 2.431 Å, intensity 18; 2θ = 37.88°, 2.375 Å, intensity 17; 2θ = 39.56°, 2.278 Å, intensity 15; 2θ = 53.98°, 1.699 Å, intensity 13; 2θ = 55.26°, 1.662 Å, intensity 12; 2θ = 64.07°, 1.453 Å, intensity 15; 2θ = 65.28°, 1.429 Å, intensity 15; 2θ = 67.56°, 1.387 Å, intensity 13; 2θ = 68.96°, 1.362 Å, intensity 12

---

(8)
Starting from a GGA-PBE-relaxed structure, the powder XRD pattern of ReTc6Ge was computed for Cu Kα X-rays.

Cell and atoms:
```
8
Lattice="3.4732 2.0052 2.8325 -3.4732 2.0052 2.8325 0.0000 -4.0104 2.8325" Properties=species:S:1:pos:R:3 pbc="T T T"
Re 0.0000 0.0000 0.0000
Tc -1.7312 -0.0128 2.1314
Tc 0.8767 -1.4929 2.1314
Tc 0.8545 1.5057 2.1314
Tc -0.8545 -1.5057 6.3661
Tc -0.8767 1.4929 6.3661
Tc 1.7312 0.0128 6.3661
Ge 0.0000 0.0000 4.2487
```

The 12 most intense peaks (2θ = 10–90°), in order of rising 2θ:
2θ = 18.07°, 4.910 Å, intensity 12; 2θ = 25.66°, 3.472 Å, intensity 3; 2θ = 31.56°, 2.835 Å, intensity 6; 2θ = 36.60°, 2.455 Å, intensity 43; 2θ = 41.11°, 2.196 Å, intensity 100; 2θ = 45.24°, 2.004 Å, intensity 93; 2θ = 56.20°, 1.637 Å, intensity 4; 2θ = 65.90°, 1.417 Å, intensity 5; 2θ = 68.96°, 1.362 Å, intensity 21; 2θ = 71.96°, 1.312 Å, intensity 46; 2θ = 77.81°, 1.227 Å, intensity 16; 2θ = 89.21°, 1.098 Å, intensity 14

---

(9)
Starting from a GGA-PBE-relaxed structure, the powder XRD pattern of Na8H8Pd3 was computed for Cu Kα X-rays.

Cell and atoms:
```
19
Lattice="9.0457 -2.3688 0.0000 9.0457 2.3688 0.0000 -2.4342 0.0000 6.8054" Properties=species:S:1:pos:R:3 pbc="T T T"
Na -0.1222 0.0000 1.8442
Na 1.7531 0.0000 5.4384
Na 4.6763 0.0000 3.6916
Na 6.9394 0.0000 0.4862
Na 8.7179 0.0000 6.3192
Na 10.9810 0.0000 3.1138
Na 13.9042 0.0000 1.3670
Na 15.7794 0.0000 4.9612
H -0.4911 0.0000 6.6061
H 2.1321 0.0000 2.9213
H 4.5700 0.0000 1.2858
H 6.9239 0.0000 4.8253
H 8.7334 0.0000 1.9802
H 11.0872 0.0000 5.5196
H 13.5252 0.0000 3.8841
H 16.1483 0.0000 0.1993
Pd 2.8007 0.0000 1.3043
Pd 7.8286 0.0000 3.4027
Pd 12.8566 0.0000 5.5012
```

The 12 most intense peaks (2θ = 10–90°), in order of rising 2θ:
2θ = 19.24°, 4.613 Å, intensity 71; 2θ = 20.54°, 4.324 Å, intensity 62; 2θ = 22.45°, 3.960 Å, intensity 100; 2θ = 24.47°, 3.638 Å, intensity 63; 2θ = 31.39°, 2.850 Å, intensity 30; 2θ = 31.51°, 2.839 Å, intensity 31; 2θ = 34.26°, 2.617 Å, intensity 74; 2θ = 35.80°, 2.508 Å, intensity 66; 2θ = 37.99°, 2.369 Å, intensity 44; 2θ = 38.33°, 2.348 Å, intensity 32; 2θ = 39.73°, 2.268 Å, intensity 41; 2θ = 41.76°, 2.163 Å, intensity 35

---

(10)
Starting from a GGA-PBE-relaxed structure, the powder XRD pattern of La3Pr3Sm2 was computed for Cu Kα X-rays.

Cell and atoms:
```
8
Lattice="-2.6189 2.6214 10.4561 2.6189 -2.6214 10.4561 2.6189 2.6214 -10.4561" Properties=species:S:1:pos:R:3 pbc="T T T"
La 0.0000 0.0000 0.0000
La 2.6189 0.0000 7.8223
La 0.0000 2.6214 2.6338
Pr 2.6189 0.0000 2.6678
Pr 0.0000 0.0000 10.4561
Pr 0.0000 2.6214 7.7883
Sm 0.0000 0.0000 5.2175
Sm 0.0000 0.0000 15.6948
```

The 12 most intense peaks (2θ = 10–90°), in order of rising 2θ:
2θ = 29.55°, 3.023 Å, intensity 100; 2θ = 34.25°, 2.618 Å, intensity 51; 2θ = 49.22°, 1.851 Å, intensity 36; 2θ = 58.42°, 1.580 Å, intensity 29; 2θ = 58.53°, 1.577 Å, intensity 14; 2θ = 61.33°, 1.512 Å, intensity 12; 2θ = 72.10°, 1.310 Å, intensity 4; 2θ = 79.82°, 1.202 Å, intensity 12; 2θ = 79.90°, 1.201 Å, intensity 6; 2θ = 82.29°, 1.172 Å, intensity 8; 2θ = 82.41°, 1.170 Å, intensity 5; 2θ = 82.48°, 1.169 Å, intensity 3

---

(11)
Starting from a GGA-PBE-relaxed structure, the powder XRD pattern of Th2Bi2H was computed for Cu Kα X-rays.

Cell and atoms:
```
10
Lattice="2.1346 -7.7903 0.0000 2.1346 7.7903 0.0000 0.0000 0.0000 8.7809" Properties=species:S:1:pos:R:3 pbc="T T T"
Th 2.1346 6.7834 4.3905
Th 2.1346 2.2714 3.6158
Th 2.1346 -2.2714 8.0063
Th 2.1346 -6.7834 0.0000
Bi 2.1346 3.4706 0.6019
Bi 2.1346 0.5892 6.3547
Bi 2.1346 -0.5892 1.9642
Bi 2.1346 -3.4706 4.9924
H 2.1346 6.5184 8.2134
H 2.1346 -6.5184 3.8230
```

The 12 most intense peaks (2θ = 10–90°), in order of rising 2θ:
2θ = 20.23°, 4.390 Å, intensity 17; 2θ = 25.01°, 3.561 Å, intensity 31; 2θ = 28.92°, 3.087 Å, intensity 100; 2θ = 29.75°, 3.003 Å, intensity 38; 2θ = 30.68°, 2.914 Å, intensity 22; 2θ = 32.68°, 2.740 Å, intensity 29; 2θ = 34.00°, 2.637 Å, intensity 46; 2θ = 36.07°, 2.490 Å, intensity 24; 2θ = 37.71°, 2.386 Å, intensity 35; 2θ = 42.34°, 2.135 Å, intensity 28; 2θ = 50.71°, 1.800 Å, intensity 15; 2θ = 64.73°, 1.440 Å, intensity 19

---

(12)
Starting from a GGA-PBE-relaxed structure, the powder XRD pattern of SrAcPbO was computed for Cu Kα X-rays.

Cell and atoms:
```
4
Lattice="-1.9706 2.0184 7.5344 1.9706 -2.0184 7.5344 1.9706 2.0184 -7.5344" Properties=species:S:1:pos:R:3 pbc="T T T"
Sr 0.0000 0.0000 0.0000
Ac 0.0000 0.0000 10.4657
Pb 0.0000 0.0000 5.3162
O 1.9706 0.0000 1.6004
```

The 12 most intense peaks (2θ = 10–90°), in order of rising 2θ:
2θ = 11.75°, 7.534 Å, intensity 26; 2θ = 28.36°, 3.147 Å, intensity 100; 2θ = 28.79°, 3.101 Å, intensity 97; 2θ = 31.73°, 2.820 Å, intensity 73; 2θ = 33.94°, 2.641 Å, intensity 12; 2θ = 35.75°, 2.511 Å, intensity 23; 2θ = 44.91°, 2.018 Å, intensity 16; 2θ = 46.06°, 1.971 Å, intensity 15; 2θ = 48.54°, 1.876 Å, intensity 45; 2θ = 54.23°, 1.692 Å, intensity 34; 2θ = 54.98°, 1.670 Å, intensity 33; 2θ = 60.01°, 1.542 Å, intensity 13